1.
This entry pairs a crystal structure of NdDy with its simulated powder diffraction line list. Radiation: copper Kα. Structure: the GGA-PBE geometry in the Materials Project.
Kinematic intensities with the Lorentz-polarization factor, no thermal factor.

Peak list (8 most intense, 2θ = 10–90°, sorted by position)
Position (°2θ)	d_spacing	Rel. int.
28.56	3.125	36
30.28	2.952	49
31.46	2.844	100
33.09	2.708	80
39.45	2.284	19
50.22	1.817	36
53.46	1.714	24
59.77	1.547	43

Crystal structure
abc: 17.8347 17.8347 17.8347
angles: 11.69 11.69 11.69
Sites, in units of the cell vectors:
Nd 0.0000 0.0000 0.0000
Nd 0.2232 0.2232 0.2232
Nd 0.7244 0.7244 0.7244
Dy 0.1132 0.1132 0.1132
Dy 0.5002 0.5002 0.5002
Dy 0.6120 0.6120 0.6120

=====

2.
This entry pairs a crystal structure of Mg14ZnCo with its simulated powder diffraction line list. Radiation: copper Kα. Structure: the GGA-PBE geometry in the Materials Project.
Kinematic intensities with the Lorentz-polarization factor, no thermal factor.

Peak list (8 most intense, 2θ = 10–90°, sorted by position)
Position (°2θ)	d_spacing	Rel. int.
32.80	2.730	25
36.80	2.442	33
37.75	2.383	100
38.04	2.366	45
50.12	1.820	14
58.97	1.566	16
66.92	1.398	14
71.57	1.318	15

Crystal structure
abc: 9.7683 6.2652 6.2652
angles: 60.64 90.00 90.00
Sites, in units of the cell vectors:
Mg 0.0000 0.0000 0.0000
Mg 0.0000 0.0066 0.5016
Mg 0.0000 0.4992 0.4992
Mg 0.0000 0.5016 0.0066
Mg 0.2481 0.6698 0.6698
Mg 0.2576 0.1655 0.1655
Mg 0.2773 0.1679 0.6831
Mg 0.2773 0.6831 0.1679
Mg 0.5000 0.4842 0.9871
Mg 0.5000 0.9871 0.4842
Mg 0.7227 0.1679 0.6831
Mg 0.7227 0.6831 0.1679
Mg 0.7424 0.1655 0.1655
Mg 0.7519 0.6698 0.6698
Zn 0.5000 0.5072 0.5072
Co 0.5000 0.0116 0.0116